# BaPuSn2Au2
Theoretical powder diffractogram, Cu Kα. Input: the PBE geometry in Alexandria.
Intensities are scaled so that the largest is 100.

Crystal structure
```
data_BaPuSn2Au2
_cell_length_a 4.8759
_cell_length_b 4.8759
_cell_length_c 8.1678
_cell_angle_alpha 90.00
_cell_angle_beta 90.00
_cell_angle_gamma 120.00
_symmetry_space_group_name_H-M 'P -3 m 1'
_symmetry_Int_Tables_number 164
_symmetry_space_group_name_Hall '-P 3 2"'
loop_
_atom_site_label
_atom_site_type_symbol
_atom_site_fract_x
_atom_site_fract_y
_atom_site_fract_z
Ba1 Ba 0.0000 0.0000 0.0000
Pu1 Pu 0.0000 0.0000 0.5000
Sn1 Sn 0.3333 0.6667 0.7027
Au1 Au 0.3333 0.6667 0.3054
```

Main lines, in order of falling intensity (2θ from 10° to 90°):
hkl  Position (°2θ)  Rel. int.
1 0 2  30.5  100
1 1 0  36.9  78
0 0 1  10.8  41
0 2 2  48.5  28
2 1 2  62.5  27
0 1 3  39.4  18
3 0 0  66.4  14
1 1 5  69.2  14
1 1 1  38.5  13
1 1 4  59.0  12